Diffraction record for Cs2Ni3Cl8. The X-ray powder pattern is simulated, not measured: it uses a cell relaxed with GGA-PBE and Cu Kα X-rays.
No peak broadening, texture or thermal motion is included.

The 8 most intense peaks (15° ≤ 2θ ≤ 90°), most intense first:
2θ 21.27, I = 100; 2θ 19.71, I = 64; 2θ 32.61, I = 50; 2θ 20.51, I = 39; 2θ 31.29, I = 32; 2θ 24.95, I = 28; 2θ 32.41, I = 27; 2θ 31.88, I = 25

Structural model:
```
Cs2Ni3Cl8
1.0
5.8201 0.0000 0.0000
-0.0300 7.1390 0.0000
-1.2672 -0.0526 8.6624
Cs Ni Cl
2 3 8
Direct
0.2046 0.4991 0.2627 Cs
0.7954 0.5009 0.7373 Cs
0.0000 0.0000 0.5000 Ni
0.4415 0.0002 0.7981 Ni
0.5585 0.9998 0.2019 Ni
0.1819 0.9993 0.2561 Cl
0.2631 0.7741 0.6232 Cl
0.2654 0.2262 0.6253 Cl
0.4985 0.7775 0.9988 Cl
0.5015 0.2225 0.0012 Cl
0.7346 0.7738 0.3747 Cl
0.7369 0.2259 0.3768 Cl
0.8181 0.0007 0.7439 Cl
```


Diffraction record for CsNiCl4. The X-ray powder pattern is simulated, not measured: it uses a cell relaxed with GGA-PBE and Cu Kα X-rays.
No peak broadening, texture or thermal motion is included.

The 8 most intense peaks (15° ≤ 2θ ≤ 90°), most intense first:
2θ 17.19, I = 100; 2θ 26.68, I = 34; 2θ 31.54, I = 32; 2θ 39.66, I = 25; 2θ 28.80, I = 24; 2θ 52.78, I = 15; 2θ 54.24, I = 13; 2θ 33.73, I = 12

Structural model:
```
CsNiCl4
1.0
-4.3845 4.3845 3.1898
4.3845 -4.3845 3.1898
4.3845 4.3845 -3.1898
Cs Ni Cl
1 1 4
Direct
0.0000 0.0000 0.0000 Cs
0.7500 0.2500 0.5000 Ni
0.5738 0.4225 0.5027 Cl
0.5775 0.0802 0.1513 Cl
0.9198 0.0712 0.4973 Cl
0.9288 0.4262 0.8487 Cl
```


Diffraction record for CsPuNi2Cl8. The X-ray powder pattern is simulated, not measured: it uses a cell relaxed with GGA-PBE and Cu Kα X-rays.
No peak broadening, texture or thermal motion is included.

The 8 most intense peaks (15° ≤ 2θ ≤ 90°), most intense first:
2θ 19.68, I = 100; 2θ 27.36, I = 39; 2θ 32.80, I = 33; 2θ 45.72, I = 31; 2θ 28.57, I = 28; 2θ 44.11, I = 28; 2θ 33.93, I = 24; 2θ 48.37, I = 23

Structural model:
```
CsPuNi2Cl8
1.0
3.2593 1.8817 10.0051
-3.2593 1.8817 10.0051
0.0000 -3.7635 10.0051
Cs Pu Ni Cl
1 1 2 8
Direct
0.0000 0.0000 0.0000 Cs
0.5000 0.5000 0.5000 Pu
0.2439 0.2439 0.2439 Ni
0.7561 0.7561 0.7561 Ni
0.1134 0.4546 0.7735 Cl
0.2265 0.8866 0.5454 Cl
0.3164 0.3164 0.3164 Cl
0.4546 0.7735 0.1134 Cl
0.5454 0.2265 0.8866 Cl
0.6836 0.6836 0.6836 Cl
0.7735 0.1134 0.4546 Cl
0.8866 0.5454 0.2265 Cl
```


Diffraction record for CsNi2RuCl8. The X-ray powder pattern is simulated, not measured: it uses a cell relaxed with GGA-PBE and Cu Kα X-rays.
No peak broadening, texture or thermal motion is included.

The 8 most intense peaks (15° ≤ 2θ ≤ 90°), most intense first:
2θ 20.33, I = 100; 2θ 28.80, I = 33; 2θ 34.02, I = 26; 2θ 51.02, I = 23; 2θ 35.51, I = 22; 2θ 46.34, I = 21; 2θ 30.18, I = 18; 2θ 46.65, I = 17

Structural model:
```
CsNi2RuCl8
1.0
3.1004 1.7900 10.0071
-3.1004 1.7900 10.0071
0.0000 -3.5801 10.0071
Cs Ni Ru Cl
1 2 1 8
Direct
0.0000 0.0000 0.0000 Cs
0.2327 0.2327 0.2327 Ni
0.7673 0.7673 0.7673 Ni
0.5000 0.5000 0.5000 Ru
0.1464 0.4486 0.7664 Cl
0.2336 0.8536 0.5514 Cl
0.3057 0.3057 0.3057 Cl
0.4486 0.7664 0.1464 Cl
0.5514 0.2336 0.8536 Cl
0.6943 0.6943 0.6943 Cl
0.7664 0.1464 0.4486 Cl
0.8536 0.5514 0.2336 Cl
```


Diffraction record for CsNi2SbCl8. The X-ray powder pattern is simulated, not measured: it uses a cell relaxed with GGA-PBE and Cu Kα X-rays.
No peak broadening, texture or thermal motion is included.

The 8 most intense peaks (15° ≤ 2θ ≤ 90°), most intense first:
2θ 19.75, I = 100; 2θ 27.24, I = 50; 2θ 32.87, I = 31; 2θ 46.19, I = 30; 2θ 48.15, I = 28; 2θ 33.88, I = 25; 2θ 44.00, I = 24; 2θ 28.89, I = 24

Structural model:
```
CsNi2SbCl8
1.0
3.2733 1.8899 9.8315
-3.2733 1.8899 9.8315
0.0000 -3.7797 9.8315
Cs Ni Sb Cl
1 2 1 8
Direct
0.0000 0.0000 0.0000 Cs
0.2408 0.2408 0.2408 Ni
0.7592 0.7592 0.7592 Ni
0.5000 0.5000 0.5000 Sb
0.1137 0.7778 0.4494 Cl
0.2222 0.5506 0.8863 Cl
0.3146 0.3146 0.3146 Cl
0.4494 0.1137 0.7778 Cl
0.5506 0.8863 0.2222 Cl
0.6854 0.6854 0.6854 Cl
0.7778 0.4494 0.1137 Cl
0.8863 0.2222 0.5506 Cl
```


Diffraction record for CsTcNiCl6. The X-ray powder pattern is simulated, not measured: it uses a cell relaxed with GGA-PBE and Cu Kα X-rays.
No peak broadening, texture or thermal motion is included.

The 8 most intense peaks (15° ≤ 2θ ≤ 90°), most intense first:
2θ 19.71, I = 100; 2θ 36.41, I = 56; 2θ 45.01, I = 25; 2θ 55.18, I = 19; 2θ 49.59, I = 19; 2θ 28.02, I = 18; 2θ 34.49, I = 17; 2θ 30.32, I = 16

Structural model:
```
CsTcNiCl6
1.0
6.3674 0.0000 0.0000
-3.1837 5.5143 0.0000
0.0000 0.0000 7.8127
Cs Tc Ni Cl
1 1 1 6
Direct
0.0000 0.0000 0.0000 Cs
0.6667 0.3333 0.5000 Tc
0.3333 0.6667 0.5000 Ni
0.3777 0.0044 0.6744 Cl
0.3777 0.3733 0.3256 Cl
0.6267 0.0044 0.3256 Cl
0.6267 0.6223 0.6744 Cl
0.9956 0.3733 0.6744 Cl
0.9956 0.6223 0.3256 Cl
```


Diffraction record for Cs7Np3Cl12O6. The X-ray powder pattern is simulated, not measured: it uses a cell relaxed with GGA-PBE and Cu Kα X-rays.
No peak broadening, texture or thermal motion is included.

The 8 most intense peaks (15° ≤ 2θ ≤ 90°), most intense first:
2θ 21.62, I = 100; 2θ 25.91, I = 58; 2θ 31.87, I = 55; 2θ 28.43, I = 26; 2θ 42.37, I = 19; 2θ 40.64, I = 19; 2θ 39.75, I = 18; 2θ 44.06, I = 17

Structural model:
```
Cs7Np3Cl12O6
1.0
-7.6907 7.6907 7.6907
7.6907 -7.6907 7.6907
7.6907 7.6907 -7.6907
Cs Np Cl O
14 6 24 12
Direct
0.0000 0.2979 0.5000 Cs
0.0000 0.7979 0.5000 Cs
0.1250 0.7500 0.8750 Cs
0.2021 0.2021 0.2021 Cs
0.2500 0.6250 0.3750 Cs
0.2979 0.5000 0.0000 Cs
0.3750 0.2500 0.6250 Cs
0.5000 0.0000 0.2979 Cs
0.5000 0.0000 0.7979 Cs
0.6250 0.3750 0.2500 Cs
0.7021 0.7021 0.7021 Cs
0.7500 0.8750 0.1250 Cs
0.7979 0.5000 0.0000 Cs
0.8750 0.1250 0.7500 Cs
0.1250 0.8750 0.2500 Np
0.2500 0.1250 0.8750 Np
0.3750 0.6250 0.7500 Np
0.6250 0.7500 0.3750 Np
0.7500 0.3750 0.6250 Np
0.8750 0.2500 0.1250 Np
0.0259 0.9557 0.8113 Cl
0.0443 0.3556 0.0703 Cl
0.0703 0.0443 0.3556 Cl
0.1444 0.1887 0.7147 Cl
0.1887 0.7147 0.1444 Cl
0.2147 0.6887 0.6444 Cl
0.2853 0.9297 0.4741 Cl
0.3113 0.4557 0.5259 Cl
0.3556 0.0703 0.0443 Cl
0.4297 0.7853 0.9741 Cl
0.4557 0.5259 0.3113 Cl
0.4741 0.2853 0.9297 Cl
0.5259 0.3113 0.4557 Cl
0.5443 0.5703 0.8556 Cl
0.5703 0.8556 0.5443 Cl
0.6444 0.2147 0.6887 Cl
0.6887 0.6444 0.2147 Cl
0.7147 0.1444 0.1887 Cl
0.7853 0.9741 0.4297 Cl
0.8113 0.0259 0.9557 Cl
0.8556 0.5443 0.5703 Cl
0.9297 0.4741 0.2853 Cl
0.9557 0.8113 0.0259 Cl
0.9741 0.4297 0.7853 Cl
0.0073 0.7573 0.2500 O
0.2427 0.9927 0.2500 O
0.2500 0.0073 0.7573 O
0.2500 0.2427 0.9927 O
0.2573 0.5073 0.7500 O
0.4927 0.7427 0.7500 O
0.5073 0.7500 0.2573 O
0.7427 0.7500 0.4927 O
0.7500 0.2573 0.5073 O
0.7500 0.4927 0.7427 O
0.7573 0.2500 0.0073 O
0.9927 0.2500 0.2427 O
```


Diffraction record for CsNpCl2O3. The X-ray powder pattern is simulated, not measured: it uses a cell relaxed with GGA-PBE and Cu Kα X-rays.
No peak broadening, texture or thermal motion is included.

The 8 most intense peaks (15° ≤ 2θ ≤ 90°), most intense first:
2θ 23.08, I = 100; 2θ 22.51, I = 88; 2θ 22.68, I = 66; 2θ 28.73, I = 54; 2θ 19.66, I = 45; 2θ 16.87, I = 45; 2θ 37.49, I = 38; 2θ 34.94, I = 27

Structural model:
```
CsNpCl2O3
1.0
7.8981 0.0000 0.0000
0.0000 8.8292 0.0000
-7.8728 0.0000 10.5088
Cs Np Cl O
4 4 8 12
Direct
0.0548 0.1124 0.3040 Cs
0.0548 0.3876 0.8040 Cs
0.9452 0.6124 0.1960 Cs
0.9452 0.8876 0.6960 Cs
0.4207 0.6199 0.6705 Np
0.4207 0.8801 0.1705 Np
0.5793 0.1199 0.8295 Np
0.5793 0.3801 0.3295 Np
0.3570 0.1929 0.1084 Cl
0.3570 0.3071 0.6084 Cl
0.3565 0.5677 0.1048 Cl
0.3565 0.9323 0.6048 Cl
0.6435 0.0677 0.3952 Cl
0.6435 0.4323 0.8952 Cl
0.6430 0.6929 0.3916 Cl
0.6430 0.8071 0.8916 Cl
0.2089 0.6215 0.6875 O
0.2089 0.8785 0.1875 O
0.2431 0.6205 0.4926 O
0.2431 0.8795 0.9926 O
0.3339 0.1197 0.8127 O
0.3339 0.3803 0.3127 O
0.6661 0.6197 0.6873 O
0.6661 0.8803 0.1873 O
0.7569 0.1205 0.0074 O
0.7569 0.3795 0.5074 O
0.7911 0.1215 0.8125 O
0.7911 0.3785 0.3125 O
```


Diffraction record for CsRb2NpCl8. The X-ray powder pattern is simulated, not measured: it uses a cell relaxed with GGA-PBE and Cu Kα X-rays.
No peak broadening, texture or thermal motion is included.

The 8 most intense peaks (15° ≤ 2θ ≤ 90°), most intense first:
2θ 20.95, I = 100; 2θ 31.17, I = 46; 2θ 17.02, I = 42; 2θ 35.80, I = 28; 2θ 38.46, I = 24; 2θ 34.14, I = 24; 2θ 16.89, I = 22; 2θ 29.39, I = 21

Structural model:
```
CsRb2NpCl8
1.0
6.2123 0.0000 0.0000
0.0000 10.4834 0.0000
-1.5219 0.0000 7.2186
Cs Rb Np Cl
1 2 1 8
Direct
0.0000 0.0000 0.0000 Cs
0.5000 0.2428 0.5000 Rb
0.5000 0.7572 0.5000 Rb
0.0000 0.5000 0.0000 Np
0.0934 0.3242 0.7890 Cl
0.0934 0.6758 0.7890 Cl
0.3844 0.5000 0.2042 Cl
0.4554 0.0000 0.7475 Cl
0.5446 0.0000 0.2525 Cl
0.6156 0.5000 0.7958 Cl
0.9066 0.3242 0.2110 Cl
0.9066 0.6758 0.2110 Cl
```


Diffraction record for Cs3Cl5O. The X-ray powder pattern is simulated, not measured: it uses a cell relaxed with GGA-PBE and Cu Kα X-rays.
No peak broadening, texture or thermal motion is included.

The 8 most intense peaks (15° ≤ 2θ ≤ 90°), most intense first:
2θ 21.47, I = 100; 2θ 29.80, I = 69; 2θ 29.33, I = 48; 2θ 31.28, I = 42; 2θ 37.03, I = 37; 2θ 26.02, I = 33; 2θ 39.97, I = 29; 2θ 48.23, I = 23

Structural model:
```
Cs3Cl5O
1.0
10.3854 0.0000 0.0000
-5.1927 8.9940 0.0000
0.0000 0.0000 6.8502
Cs Cl O
6 10 2
Direct
0.0133 0.3699 0.0000 Cs
0.3566 0.9867 0.0000 Cs
0.3699 0.3566 0.5000 Cs
0.6301 0.6434 0.0000 Cs
0.6434 0.0133 0.5000 Cs
0.9867 0.6301 0.5000 Cs
0.0074 0.2389 0.5042 Cl
0.2315 0.9926 0.5042 Cl
0.2389 0.2315 0.0042 Cl
0.3333 0.6667 0.3070 Cl
0.3333 0.6667 0.6944 Cl
0.6667 0.3333 0.1944 Cl
0.6667 0.3333 0.8070 Cl
0.7611 0.7685 0.5042 Cl
0.7685 0.0074 0.0042 Cl
0.9926 0.7611 0.0042 Cl
0.0000 0.0000 0.0949 O
0.0000 0.0000 0.5949 O
```


Diffraction record for Cs4Cl3O4. The X-ray powder pattern is simulated, not measured: it uses a cell relaxed with GGA-PBE and Cu Kα X-rays.
No peak broadening, texture or thermal motion is included.

The 8 most intense peaks (15° ≤ 2θ ≤ 90°), most intense first:
2θ 27.12, I = 100; 2θ 20.68, I = 70; 2θ 21.97, I = 56; 2θ 30.72, I = 37; 2θ 26.01, I = 35; 2θ 38.86, I = 30; 2θ 34.87, I = 29; 2θ 38.51, I = 26

Structural model:
```
Cs4Cl3O4
1.0
8.3595 -5.0693 0.0000
8.3595 5.0693 0.0000
-1.1325 0.0000 4.3612
Cs Cl O
4 3 4
Direct
0.2079 0.7921 0.0000 Cs
0.2805 0.2805 0.1524 Cs
0.7195 0.7195 0.8476 Cs
0.7921 0.2079 0.0000 Cs
0.1130 0.1130 0.5721 Cl
0.5000 0.5000 0.5000 Cl
0.8870 0.8870 0.4279 Cl
0.0466 0.5005 0.6246 O
0.4995 0.9534 0.3754 O
0.5005 0.0466 0.6246 O
0.9534 0.4995 0.3754 O
```


Diffraction record for Cs2OsCl4O2. The X-ray powder pattern is simulated, not measured: it uses a cell relaxed with GGA-PBE and Cu Kα X-rays.
No peak broadening, texture or thermal motion is included.

The 8 most intense peaks (15° ≤ 2θ ≤ 90°), most intense first:
2θ 21.70, I = 100; 2θ 30.90, I = 71; 2θ 25.75, I = 61; 2θ 19.11, I = 50; 2θ 32.08, I = 33; 2θ 24.05, I = 23; 2θ 46.15, I = 18; 2θ 40.36, I = 17

Structural model:
```
Cs2OsCl4O2
1.0
5.9837 -3.7010 0.0000
5.9837 3.7010 0.0000
-1.1729 0.0000 5.9198
Cs Os Cl O
2 1 4 2
Direct
0.1700 0.1700 0.3173 Cs
0.8300 0.8300 0.6827 Cs
0.5000 0.5000 0.0000 Os
0.1767 0.6447 0.1857 Cl
0.3553 0.8233 0.8143 Cl
0.6447 0.1767 0.1857 Cl
0.8233 0.3553 0.8143 Cl
0.3819 0.3819 0.7752 O
0.6181 0.6181 0.2248 O
```


Q: Which formula does entry 3 have?
A: CsPuNi2Cl8